1.
For ZnO, DFT lattice parameters and positions (GGA-PBE) gives the computed PXRD pattern in this record (Cu Kα (λ = 1.5418 Å)).
Intensities are scaled so that the largest is 100.

Crystal structure
```
data_ZnO
_space_group_name_H-M_alt 'P 1'
_space_group_IT_number 1
_cell_length_a 3.2891
_cell_length_b 3.2891
_cell_length_c 5.3068
_cell_angle_alpha 90.00
_cell_angle_beta 90.00
_cell_angle_gamma 120.00
loop_
_space_group_symop_operation_xyz
'x,y,z'
loop_
_atom_site_label
_atom_site_type_symbol
_atom_site_fract_x
_atom_site_fract_y
_atom_site_fract_z
Zn1 Zn 0.3333 0.6667 0.0000
Zn2 Zn 0.6667 0.3333 0.5000
O1 O 0.3333 0.6667 0.6208
O2 O 0.6667 0.3333 0.1208
```

The 10 most intense peaks (10° ≤ 2θ ≤ 90°), sorted by position:
- 2θ 31.4, rel. 51
- 2θ 33.8, rel. 39
- 2θ 35.8, rel. 100
- 2θ 46.8, rel. 23
- 2θ 55.9, rel. 35
- 2θ 61.7, rel. 34
- 2θ 65.5, rel. 5
- 2θ 66.9, rel. 29
- 2θ 68.2, rel. 15
- 2θ 88.0, rel. 12



2.
For ZnO, DFT lattice parameters and positions (GGA-PBE) gives the computed PXRD pattern in this record (Cu Kα (λ = 1.5418 Å)).
Intensities are scaled so that the largest is 100.

Crystal structure
```
data_ZnO
_space_group_name_H-M_alt 'P 1'
_space_group_IT_number 1
_cell_length_a 3.0681
_cell_length_b 3.0681
_cell_length_c 3.0681
_cell_angle_alpha 60.00
_cell_angle_beta 60.00
_cell_angle_gamma 60.00
loop_
_space_group_symop_operation_xyz
'x,y,z'
loop_
_atom_site_label
_atom_site_type_symbol
_atom_site_fract_x
_atom_site_fract_y
_atom_site_fract_z
Zn1 Zn 0.0000 0.0000 0.0000
O1 O 0.5000 0.5000 0.5000
```

The 5 most intense peaks (10° ≤ 2θ ≤ 90°), sorted by position:
- 2θ 35.8, rel. 81
- 2θ 41.6, rel. 100
- 2θ 60.3, rel. 60
- 2θ 72.2, rel. 32
- 2θ 76.0, rel. 19



3.
For ZnO, DFT lattice parameters and positions (GGA-PBE) gives the computed PXRD pattern in this record (Cu Kα (λ = 1.5418 Å)).
Intensities are scaled so that the largest is 100.

Crystal structure
```
data_ZnO
_space_group_name_H-M_alt 'P 1'
_space_group_IT_number 1
_cell_length_a 3.2742
_cell_length_b 3.2742
_cell_length_c 3.2742
_cell_angle_alpha 60.00
_cell_angle_beta 60.00
_cell_angle_gamma 60.00
loop_
_space_group_symop_operation_xyz
'x,y,z'
loop_
_atom_site_label
_atom_site_type_symbol
_atom_site_fract_x
_atom_site_fract_y
_atom_site_fract_z
Zn1 Zn 0.0000 0.0000 0.0000
O1 O 0.7500 0.7500 0.7500
```

The 6 most intense peaks (10° ≤ 2θ ≤ 90°), sorted by position:
- 2θ 33.5, rel. 100
- 2θ 38.9, rel. 28
- 2θ 56.2, rel. 44
- 2θ 67.0, rel. 36
- 2θ 70.4, rel. 7
- 2θ 83.5, rel. 6



4.
For ZnO2, DFT lattice parameters and positions (GGA-PBE) gives the computed PXRD pattern in this record (Cu Kα (λ = 1.5418 Å)).
Intensities are scaled so that the largest is 100.

Crystal structure
```
data_ZnO2
_space_group_name_H-M_alt 'P 1'
_space_group_IT_number 1
_cell_length_a 4.9573
_cell_length_b 4.9573
_cell_length_c 4.9573
_cell_angle_alpha 90.00
_cell_angle_beta 90.00
_cell_angle_gamma 90.00
loop_
_space_group_symop_operation_xyz
'x,y,z'
loop_
_atom_site_label
_atom_site_type_symbol
_atom_site_fract_x
_atom_site_fract_y
_atom_site_fract_z
Zn1 Zn 0.0000 0.0000 0.0000
Zn2 Zn 0.0000 0.5000 0.5000
Zn3 Zn 0.5000 0.0000 0.5000
Zn4 Zn 0.5000 0.5000 0.0000
O1 O 0.0874 0.5874 0.9126
O2 O 0.0874 0.9126 0.4126
O3 O 0.4126 0.0874 0.9126
O4 O 0.4126 0.4126 0.4126
O5 O 0.5874 0.5874 0.5874
O6 O 0.5874 0.9126 0.0874
O7 O 0.9126 0.0874 0.5874
O8 O 0.9126 0.4126 0.0874
```

The 10 most intense peaks (10° ≤ 2θ ≤ 90°), sorted by position:
- 2θ 31.3, rel. 67
- 2θ 36.2, rel. 100
- 2θ 40.7, rel. 4
- 2θ 44.8, rel. 4
- 2θ 52.2, rel. 54
- 2θ 62.1, rel. 55
- 2θ 65.2, rel. 16
- 2θ 76.9, rel. 4
- 2θ 85.4, rel. 20
- 2θ 88.1, rel. 16



5.
For ZnO, DFT lattice parameters and positions (GGA-PBE) gives the computed PXRD pattern in this record (Cu Kα (λ = 1.5418 Å)).
Intensities are scaled so that the largest is 100.

Crystal structure
```
data_ZnO
_space_group_name_H-M_alt 'P 1'
_space_group_IT_number 1
_cell_length_a 3.2052
_cell_length_b 3.2052
_cell_length_c 5.5169
_cell_angle_alpha 90.00
_cell_angle_beta 90.00
_cell_angle_gamma 120.00
loop_
_space_group_symop_operation_xyz
'x,y,z'
loop_
_atom_site_label
_atom_site_type_symbol
_atom_site_fract_x
_atom_site_fract_y
_atom_site_fract_z
Zn1 Zn 0.0000 0.0000 0.0000
Zn2 Zn 0.0000 0.0000 0.5000
O1 O 0.3333 0.6667 0.3849
O2 O 0.6667 0.3333 0.8849
```

The 10 most intense peaks (10° ≤ 2θ ≤ 90°), sorted by position:
- 2θ 32.2, rel. 100
- 2θ 32.5, rel. 47
- 2θ 36.2, rel. 8
- 2θ 46.4, rel. 90
- 2θ 57.5, rel. 33
- 2θ 67.5, rel. 11
- 2θ 67.6, rel. 30
- 2θ 68.0, rel. 3
- 2θ 76.9, rel. 18
- 2θ 77.2, rel. 22



6.
For ZnO, DFT lattice parameters and positions (GGA-PBE) gives the computed PXRD pattern in this record (Cu Kα (λ = 1.5418 Å)).
Intensities are scaled so that the largest is 100.

Crystal structure
```
data_ZnO
_space_group_name_H-M_alt 'P 1'
_space_group_IT_number 1
_cell_length_a 3.2880
_cell_length_b 3.2880
_cell_length_c 7.1304
_cell_angle_alpha 90.00
_cell_angle_beta 90.00
_cell_angle_gamma 120.00
loop_
_space_group_symop_operation_xyz
'x,y,z'
loop_
_atom_site_label
_atom_site_type_symbol
_atom_site_fract_x
_atom_site_fract_y
_atom_site_fract_z
Zn1 Zn 0.0000 0.0000 0.2500
Zn2 Zn 0.0000 0.0000 0.7500
O1 O 0.3333 0.6667 0.2500
O2 O 0.6667 0.3333 0.7500
```

The 10 most intense peaks (10° ≤ 2θ ≤ 90°), sorted by position:
- 2θ 25.0, rel. 100
- 2θ 31.4, rel. 83
- 2θ 40.5, rel. 83
- 2θ 51.2, rel. 12
- 2θ 55.9, rel. 28
- 2θ 61.4, rel. 24
- 2θ 62.2, rel. 39
- 2θ 65.6, rel. 10
- 2θ 71.3, rel. 15
- 2θ 79.3, rel. 18



7.
For ZnO2, DFT lattice parameters and positions (GGA-PBE) gives the computed PXRD pattern in this record (Cu Kα (λ = 1.5418 Å)).
Intensities are scaled so that the largest is 100.

Crystal structure
```
data_ZnO2
_space_group_name_H-M_alt 'P 1'
_space_group_IT_number 1
_cell_length_a 11.0426
_cell_length_b 11.0426
_cell_length_c 11.0426
_cell_angle_alpha 162.42
_cell_angle_beta 141.03
_cell_angle_gamma 43.05
loop_
_space_group_symop_operation_xyz
'x,y,z'
loop_
_atom_site_label
_atom_site_type_symbol
_atom_site_fract_x
_atom_site_fract_y
_atom_site_fract_z
Zn1 Zn 0.1791 0.9132 0.2658
Zn2 Zn 0.2340 0.2340 0.0000
Zn3 Zn 0.3526 0.0868 0.2658
Zn4 Zn 0.6474 0.9132 0.7342
Zn5 Zn 0.7660 0.7660 0.0000
Zn6 Zn 0.8209 0.0868 0.7342
O1 O 0.0322 0.0322 0.0000
O2 O 0.0319 0.8247 0.2072
O3 O 0.2795 0.7795 0.5000
O4 O 0.2889 0.4460 0.8429
O5 O 0.3826 0.1753 0.2072
O6 O 0.3969 0.5540 0.8429
O7 O 0.6031 0.4460 0.1571
O8 O 0.6174 0.8247 0.7928
O9 O 0.7111 0.5540 0.1571
O10 O 0.7205 0.2205 0.5000
O11 O 0.9681 0.1753 0.7928
O12 O 0.9678 0.9678 0.0000
```

The 10 most intense peaks (10° ≤ 2θ ≤ 90°), sorted by position:
- 2θ 25.7, rel. 77
- 2θ 26.0, rel. 77
- 2θ 26.8, rel. 74
- 2θ 29.1, rel. 25
- 2θ 29.9, rel. 100
- 2θ 36.4, rel. 33
- 2θ 40.7, rel. 28
- 2θ 42.5, rel. 64
- 2θ 54.4, rel. 25
- 2θ 62.1, rel. 45